Calculated powder diffraction line list of PmAsF6 for Cu Kα, from a cell relaxed with PBE.
Neutral-atom scattering factors, no anomalous dispersion.

Top 12 peaks for 2θ from 15° to 90°, in order of rising 2θ:
2θ (°)  d [Å]  I (rel.)
21.35  4.161  66
23.42  3.798  100
27.57  3.236  62
39.19  2.299  23
40.14  2.246  28
41.48  2.177  47
42.35  2.134  21
47.90  1.899  17
50.50  1.807  14
52.07  1.756  21
60.08  1.540  13
61.47  1.509  13

Crystal structure
Lattice parameters (Å, degrees): 5.021 5.021 5.440 96.20 96.20 111.93
Fractional positions:
Pm1 0.000 0.000 0.000
As1 0.500 0.500 0.500
F1 0.137 0.454 0.243
F2 0.228 0.228 0.700
F3 0.454 0.137 0.243
F4 0.546 0.863 0.757
F5 0.772 0.772 0.300
F6 0.863 0.546 0.757